# 1
Simulated X-ray powder pattern of Tb5Cd2Au2 for a wavelength of 1.5418 Å, from the GGA-PBE geometry in Alexandria.
Neutral-atom scattering factors, no anomalous dispersion.

Atomic structure:
Lattice parameters (Å, degrees): 17.076 7.683 7.428 90.00 90.00 90.00
Space group Cmce (No. 64)
Symmetry-distinct sites (fractional):
Tb: 0.000 0.000 0.000 [4 per cell]
Tb: 0.130 0.180 0.328 [16 per cell]
Cd: 0.221 0.000 0.000 [8 per cell]
Au: 0.000 0.136 0.630 [8 per cell]

The 12 most intense peaks (2θ from 10° to 80°), sorted by position:
two_theta  Rel. int.  index
10.36  450  2 0 0
28.16  226  2 2 1
31.03  888  3 1 2
31.32  398  4 2 0
31.94  350  4 0 2
33.61  1000  4 2 1
37.52  415  1 3 1
37.65  347  5 1 2
38.57  338  1 1 3
42.34  270  8 0 0
53.75  203  4 4 1
64.84  154  7 3 3

***

# 2
Simulated X-ray powder pattern of TaTlFe2 for a wavelength of 1.5418 Å, from the GGA-PBE geometry in Alexandria.
Neutral-atom scattering factors, no anomalous dispersion.

Atomic structure:
Lattice parameters (Å, degrees): 4.274 4.274 3.244 90.00 90.00 90.00
Space group P4/mmm (No. 123)
Symmetry-distinct sites (fractional):
Ta: 0.000 0.000 0.000 [1 per cell]
Tl: 0.500 0.500 0.000 [1 per cell]
Fe: 0.000 0.500 0.500 [2 per cell]

The 12 most intense peaks (2θ from 10° to 80°), sorted by position:
two_theta  Rel. int.  index
27.49  191  0 0 1
29.56  319  1 1 0
40.81  1000  1 1 1
42.29  452  2 0 0
51.18  150  2 0 1
56.76  94  0 0 2
61.35  149  2 2 0
65.29  75  1 1 2
68.50  66  2 2 1
69.55  63  3 1 0
73.26  175  2 0 2
76.32  312  3 1 1

***

# 3
Simulated X-ray powder pattern of Cd2PF for a wavelength of 1.5418 Å, from the GGA-PBE geometry in Alexandria.
Neutral-atom scattering factors, no anomalous dispersion.

Atomic structure:
Lattice parameters (Å, degrees): 4.440 9.013 4.161 90.00 90.00 90.00
Space group Pmn2_1 (No. 31)
Symmetry-distinct sites (fractional):
Cd: 0.000 0.070 0.000 [2 per cell]
Cd: 0.000 0.637 0.855 [2 per cell]
P: 0.000 0.817 0.336 [2 per cell]
F: 0.000 0.457 0.441 [2 per cell]

The 12 most intense peaks (2θ from 10° to 80°), sorted by position:
two_theta  Rel. int.  index
22.32  170  1 1 0
28.21  683  1 2 0
29.21  1000  0 2 1
29.42  558  1 0 1
31.08  334  1 1 1
40.64  348  2 0 0
42.32  389  1 3 1
49.43  184  1 1 2
50.44  154  1 4 1
50.83  401  2 2 1
54.97  188  1 5 0
57.77  116  1 3 2

***

# 4
Simulated X-ray powder pattern of Pm2Pr2Nd4Mg for a wavelength of 1.5418 Å, from the GGA-PBE geometry in Alexandria.
Neutral-atom scattering factors, no anomalous dispersion.

Atomic structure:
Lattice parameters (Å, degrees): 6.611 6.614 7.668 74.88 75.18 85.75
Space group P-1 (No. 2)
Symmetry-distinct sites (fractional):
Pm: 0.129 0.293 0.393 [2 per cell]
Pr: 0.316 0.871 0.716 [2 per cell]
Nd: 0.174 0.326 0.904 [2 per cell]
Nd: 0.291 0.831 0.194 [2 per cell]
Mg: 0.500 0.500 0.500 [1 per cell]

The 12 most intense peaks (2θ from 10° to 80°), sorted by position:
two_theta  Rel. int.  index
25.27  368  0 1 2
25.66  296  1 1 2
27.93  644  2 0 0
31.20  913  2 1 0
31.42  1000  1 -2 0
31.52  906  0 1 -2
31.84  861  -1 1 2
32.63  651  2 0 2
32.82  570  1 2 2
44.96  212  3 -1 0
47.48  238  1 1 4
56.59  278  1 0 -4

***

# 5
Simulated X-ray powder pattern of LaMg2CuS4 for a wavelength of 1.5418 Å, from the GGA-PBE geometry in Alexandria.
Neutral-atom scattering factors, no anomalous dispersion.

Atomic structure:
Lattice parameters (Å, degrees): 3.847 12.534 12.924 90.00 90.00 90.00
Space group Cmcm (No. 63)
Symmetry-distinct sites (fractional):
La: 0.000 0.120 0.250 [4 per cell]
Mg: 0.000 0.374 0.056 [8 per cell]
Cu: 0.000 0.150 0.750 [4 per cell]
S: 0.000 0.000 0.000 [4 per cell]
S: 0.000 0.271 0.614 [8 per cell]
S: 0.000 0.449 0.250 [4 per cell]

The 12 most intense peaks (2θ from 10° to 80°), sorted by position:
two_theta  Rel. int.  index
13.70  1000  0 0 2
24.20  208  1 1 0
27.61  380  0 0 4
27.92  332  1 1 2
31.74  381  0 4 2
32.39  570  1 3 1
34.60  996  1 3 2
37.04  310  1 1 4
40.09  266  0 4 4
42.46  247  1 3 4
45.41  227  1 5 2
47.26  267  2 0 0

***

# 6
Simulated X-ray powder pattern of Tb3Nd8Y3 for a wavelength of 1.5418 Å, from the GGA-PBE geometry in Alexandria.
Neutral-atom scattering factors, no anomalous dispersion.

Atomic structure:
Lattice parameters (Å, degrees): 5.716 10.985 15.251 90.00 90.00 90.00
Space group Immm (No. 71)
Symmetry-distinct sites (fractional):
Tb: 0.000 0.000 0.000 [2 per cell]
Tb: 0.000 0.500 0.319 [4 per cell]
Nd: 0.000 0.158 0.275 [8 per cell]
Nd: 0.000 0.337 0.104 [8 per cell]
Y: 0.000 0.000 0.500 [2 per cell]
Y: 0.000 0.304 0.500 [4 per cell]

The 12 most intense peaks (2θ from 10° to 80°), sorted by position:
two_theta  Rel. int.  index
25.01  119  0 3 1
28.57  127  1 2 3
29.31  260  1 1 4
30.08  162  0 3 3
31.29  1000  2 0 0
33.29  303  1 0 5
40.48  87  2 3 1
43.96  114  2 3 3
49.81  81  0 6 0
55.71  137  3 3 2
60.01  93  2 6 0
61.24  108  1 6 5

***

# 7
Simulated X-ray powder pattern of SmDy2AlS6 for a wavelength of 1.5418 Å, from the GGA-PBE geometry in Alexandria.
Neutral-atom scattering factors, no anomalous dispersion.

Atomic structure:
Lattice parameters (Å, degrees): 6.7664 6.7664 17.9691 90.00 90.00 120.00
Space group R3 (No. 146, hexagonal axes)
Symmetry-distinct sites (fractional):
Sm: 0.0000 0.0000 0.0000 [3 per cell]
Dy: 0.0000 0.0000 0.2905 [3 per cell]
Dy: 0.0000 0.0000 0.7957 [3 per cell]
Al: 0.0000 0.0000 0.4925 [3 per cell]
S: 0.0036 0.3718 0.2286 [9 per cell]
S: 0.0533 0.6720 0.0701 [9 per cell]

The 12 most intense peaks (2θ from 10° to 80°), sorted by position:
two_theta  Rel. int.  index
15.91  195  1 0 1
18.07  542  0 1 2
24.98  1000  1 0 4
26.34  862  1 1 0
30.34  304  1 1 3
36.62  486  0 2 4
40.21  741  2 -1 6
45.67  483  3 -1 4
46.49  477  3 0 0
53.32  240  1 0 10
63.12  181  2 2 6
67.07  183  2 1 10

***

# 8
Simulated X-ray powder pattern of LiHfCoPb for a wavelength of 1.5418 Å, from the GGA-PBE geometry in Alexandria.
Neutral-atom scattering factors, no anomalous dispersion.

Atomic structure:
Lattice parameters (Å, degrees): 6.362 6.362 6.362 90.00 90.00 90.00
Space group F-43m (No. 216)
Symmetry-distinct sites (fractional):
Li: 0.000 0.000 0.000 [4 per cell]
Hf: 0.250 0.250 0.750 [4 per cell]
Co: 0.000 0.000 0.500 [4 per cell]
Pb: 0.250 0.250 0.250 [4 per cell]

The 10 most intense peaks (2θ from 10° to 80°), sorted by position:
two_theta  Rel. int.  index
24.23  51  1 1 1
28.05  620  2 0 0
40.09  1000  2 2 0
47.39  25  3 1 1
49.64  181  2 2 2
57.99  170  4 0 0
63.77  10  3 3 1
65.63  243  4 2 0
72.83  348  4 2 2
78.05  7  5 1 1